La3Nd5Ag2: theoretical powder XRD pattern (Cu Kα (weighted mean of Kα1 and Kα2)), based on the PBE geometry in Alexandria.

Main lines, low angle first (2θ = 10–90°):
2θ (°)  I/Imax
26.12  59
27.71  20
30.20  100
31.66  33
32.15  20
33.42  20
33.90  62
35.65  16
38.45  16
46.04  20
51.22  17
53.65  28

```
data_La3Nd5Ag2
_chemical_formula_sum 'La6 Nd10 Ag4'
_symmetry_space_group_name_H-M 'P 1'
_symmetry_Int_Tables_number 1
_cell_length_a 10.790
_cell_length_b 10.790
_cell_length_c 10.790
_cell_angle_alpha 113.42
_cell_angle_beta 78.63
_cell_angle_gamma 143.10
loop_
_symmetry_equiv_pos_as_xyz
'x,y,z'
loop_
_atom_site_label
_atom_site_type_symbol
_atom_site_fract_x
_atom_site_fract_y
_atom_site_fract_z
La1 La 0.167 0.220 0.387
La2 La 0.250 0.250 0.000
La3 La 0.333 0.720 0.053
La4 La 0.667 0.280 0.947
La5 La 0.750 0.750 0.000
La6 La 0.833 0.780 0.613
Nd1 Nd 0.055 0.750 0.305
Nd2 Nd 0.065 0.729 0.795
Nd3 Nd 0.250 0.750 0.500
Nd4 Nd 0.435 0.229 0.664
Nd5 Nd 0.445 0.750 0.695
Nd6 Nd 0.555 0.250 0.305
Nd7 Nd 0.565 0.771 0.336
Nd8 Nd 0.750 0.250 0.500
Nd9 Nd 0.935 0.271 0.205
Nd10 Nd 0.945 0.250 0.695
Ag1 Ag 0.162 0.938 0.100
Ag2 Ag 0.338 0.438 0.775
Ag3 Ag 0.662 0.562 0.225
Ag4 Ag 0.838 0.062 0.900
```